Structure and theoretical X-ray diffraction stick pattern of Ho2WO6 (DFT lattice parameters and positions (PBE+U); λ = 1.5418 Å (Cu Kα)).
Neutral-atom scattering factors, no anomalous dispersion.

Structural model:
```
Ho2WO6
1.0
7.6871 0.0000 0.0000
0.0000 5.3781 0.0000
-2.8808 0.0000 11.0708
Ho W O
8 4 24
direct
0.0000 0.1839 0.2500
0.0000 0.8161 0.7500
0.2942 0.3160 0.9220
0.2942 0.6840 0.4220
0.5000 0.2399 0.2500
0.5000 0.7601 0.7500
0.7058 0.3160 0.5780
0.7058 0.6840 0.0780
0.2235 0.2445 0.6149
0.2235 0.7555 0.1149
0.7765 0.2445 0.8851
0.7765 0.7555 0.3851
0.0104 0.1383 0.8852
0.0104 0.8617 0.3852
0.1342 0.3484 0.4515
0.1342 0.6516 0.9515
0.2101 0.4799 0.2287
0.2101 0.5201 0.7287
0.2911 0.0412 0.7732
0.2911 0.9588 0.2732
0.3473 0.0347 0.0695
0.3473 0.9653 0.5695
0.4399 0.4561 0.6045
0.4399 0.5439 0.1045
0.5601 0.4561 0.8955
0.5601 0.5439 0.3955
0.6527 0.0347 0.4305
0.6527 0.9653 0.9305
0.7089 0.0412 0.7268
0.7089 0.9588 0.2268
0.7899 0.4799 0.2713
0.7899 0.5201 0.7713
0.8658 0.3484 0.0485
0.8658 0.6516 0.5485
0.9896 0.1383 0.6148
0.9896 0.8617 0.1148
```

The 6 most intense peaks (10 to 80 degrees two-theta), by angle:
| two_theta | I (rel.) |
| --- | --- |
| 28.62 | 100 |
| 29.35 | 100 |
| 32.20 | 20 |
| 33.32 | 24 |
| 35.21 | 21 |
| 49.26 | 23 |